Structure and simulated X-ray powder pattern of DyFeC (a GGA-PBE-relaxed structure; a wavelength of 1.5418 Å).
Kinematic intensities with the Lorentz-polarization factor, no thermal factor.

Main lines, sorted by position (5° ≤ 2θ ≤ 70°):
2θ (°)  I_rel
28.03  35.5
32.51  100.0
33.24  34.8
33.37  34.8
34.15  29.5
34.72  18.9
43.76  34.0
49.63  18.4
52.51  24.0
57.86  23.0

Cell lengths 5.4610, 3.2504, 5.4867 Å; angles 90.00, 108.88, 90.00 degrees
Atoms (fractional coordinates):
Dy: 0.2083 0.2500 0.3307
Dy: 0.7917 0.7500 0.6693
Fe: 0.3600 0.7500 0.8550
Fe: 0.6400 0.2500 0.1450
C: 0.4976 0.2500 0.7762
C: 0.5024 0.7500 0.2238

---

Structure and simulated X-ray powder pattern of TiV5Co2 (a GGA-PBE-relaxed structure; a wavelength of 1.5418 Å).
Kinematic intensities with the Lorentz-polarization factor, no thermal factor.

Main lines, sorted by position (5° ≤ 2θ ≤ 70°):
2θ (°)  I_rel
38.74  26.4
41.11  57.5
41.75  100.0
42.26  54.2
48.71  20.5
50.72  19.5
51.27  22.3
53.63  15.9
67.72  16.0
68.00  11.7

Cell lengths 2.7573, 7.1278, 10.8889 Å; angles 90.00, 90.00, 90.00 degrees
Atoms (fractional coordinates):
Ti: 0.0000 0.0000 0.0000
Ti: 0.5000 0.5000 0.5000
V: 0.0000 0.2194 0.3648
V: 0.0000 0.2194 0.6352
V: 0.0000 0.5000 0.0000
V: 0.0000 0.7806 0.3648
V: 0.0000 0.7806 0.6352
V: 0.5000 0.0000 0.5000
V: 0.5000 0.2806 0.1352
V: 0.5000 0.2806 0.8648
V: 0.5000 0.7194 0.1352
V: 0.5000 0.7194 0.8648
Co: 0.0000 0.5000 0.2627
Co: 0.0000 0.5000 0.7373
Co: 0.5000 0.0000 0.2373
Co: 0.5000 0.0000 0.7627

---

Structure and simulated X-ray powder pattern of Dy7Tl2In2 (a GGA-PBE-relaxed structure; a wavelength of 1.5418 Å).
Kinematic intensities with the Lorentz-polarization factor, no thermal factor.

Main lines, sorted by position (5° ≤ 2θ ≤ 70°):
2θ (°)  I_rel
25.08  58.4
26.76  33.4
27.41  28.3
31.90  57.0
32.17  20.9
34.67  22.8
35.18  54.2
36.03  100.0
43.31  20.6
45.42  19.1

Cell lengths 6.8870, 6.8870, 7.7554 Å; angles 90.00, 90.00, 109.11 degrees
Atoms (fractional coordinates):
Dy: 0.0000 0.0000 0.0000
Dy: 0.0000 0.5000 0.2880
Dy: 0.0000 0.5000 0.7120
Dy: 0.5000 0.0000 0.2880
Dy: 0.5000 0.0000 0.7120
Dy: 0.5000 0.5000 0.2669
Dy: 0.5000 0.5000 0.7331
Tl: 0.2921 0.7079 0.0000
Tl: 0.7079 0.2921 0.0000
In: 0.1769 0.1769 0.5000
In: 0.8231 0.8231 0.5000

---

Structure and simulated X-ray powder pattern of GaHCl4 (a GGA-PBE-relaxed structure; a wavelength of 1.5418 Å).
Kinematic intensities with the Lorentz-polarization factor, no thermal factor.

Main lines, sorted by position (5° ≤ 2θ ≤ 70°):
2θ (°)  I_rel
10.15  100.0
16.19  46.4
17.70  35.1
25.27  19.9
32.68  42.3
34.93  30.7
39.04  18.0
41.49  12.1
45.69  11.7
53.86  11.8

Cell lengths 9.1842, 9.1842, 6.1599 Å; angles 91.86, 91.86, 143.20 degrees
Atoms (fractional coordinates):
Ga: 0.0520 0.9480 0.7500
Ga: 0.9480 0.0520 0.2500
H: 0.3576 0.6424 0.2500
H: 0.6424 0.3576 0.7500
Cl: 0.0991 0.3993 0.1292
Cl: 0.1788 0.2741 0.5914
Cl: 0.2741 0.1788 0.0914
Cl: 0.3993 0.0991 0.6292
Cl: 0.6007 0.9009 0.3708
Cl: 0.7259 0.8212 0.9086
Cl: 0.8212 0.7259 0.4086
Cl: 0.9009 0.6007 0.8708

---

Structure and simulated X-ray powder pattern of Tb3Si2H (a GGA-PBE-relaxed structure; a wavelength of 1.5418 Å).
Kinematic intensities with the Lorentz-polarization factor, no thermal factor.

Main lines, sorted by position (5° ≤ 2θ ≤ 70°):
2θ (°)  I_rel
27.07  88.0
27.26  86.6
31.22  50.0
31.60  100.0
45.02  91.1
45.53  18.1
53.46  27.6
53.78  27.4
55.83  19.1
56.24  19.2

Cell lengths 6.9725, 6.9725, 7.9690 Å; angles 106.60, 106.60, 48.53 degrees
Atoms (fractional coordinates):
Tb: 0.0262 0.9738 0.7500
Tb: 0.3335 0.3367 0.4174
Tb: 0.3367 0.3335 0.9174
Tb: 0.6633 0.6665 0.0826
Tb: 0.6665 0.6633 0.5826
Tb: 0.9738 0.0262 0.2500
Si: 0.1623 0.1673 0.0822
Si: 0.1673 0.1623 0.5822
Si: 0.8327 0.8377 0.4178
Si: 0.8377 0.8327 0.9178
H: 0.4601 0.5399 0.7500
H: 0.5399 0.4601 0.2500

---

Structure and simulated X-ray powder pattern of Ce4ScZn5 (a GGA-PBE-relaxed structure; a wavelength of 1.5418 Å).
Kinematic intensities with the Lorentz-polarization factor, no thermal factor.

Main lines, sorted by position (5° ≤ 2θ ≤ 70°):
2θ (°)  I_rel
20.56  6.9
28.50  6.1
33.06  8.1
35.40  100.0
40.74  36.2
41.82  12.5
56.54  5.6
58.98  11.9
59.80  16.9
67.69  6.4

Cell lengths 3.1322, 3.1322, 21.6014 Å; angles 90.00, 90.00, 90.00 degrees
Atoms (fractional coordinates):
Ce: 0.0000 0.0000 0.1035
Ce: 0.0000 0.0000 0.3108
Ce: 0.0000 0.0000 0.6892
Ce: 0.0000 0.0000 0.8965
Sc: 0.0000 0.0000 0.5000
Zn: 0.5000 0.5000 0.0000
Zn: 0.5000 0.5000 0.2070
Zn: 0.5000 0.5000 0.4138
Zn: 0.5000 0.5000 0.5862
Zn: 0.5000 0.5000 0.7930

---

Structure and simulated X-ray powder pattern of Ac13Tm3 (a GGA-PBE-relaxed structure; a wavelength of 1.5418 Å).
Kinematic intensities with the Lorentz-polarization factor, no thermal factor.

Main lines, sorted by position (5° ≤ 2θ ≤ 70°):
2θ (°)  I_rel
26.16  23.4
28.30  25.1
29.81  100.0
38.92  16.4
46.15  20.5
51.05  22.5
55.02  24.1
55.91  17.4
61.90  4.3
65.21  3.5

Cell lengths 7.8776, 9.2787, 9.2787 Å; angles 85.63, 90.00, 90.00 degrees
Atoms (fractional coordinates):
Ac: 0.0000 0.0000 0.0000
Ac: 0.0000 0.4368 0.9158
Ac: 0.0000 0.5062 0.5062
Ac: 0.0000 0.9158 0.4368
Ac: 0.2517 0.2504 0.2504
Ac: 0.2546 0.1647 0.6787
Ac: 0.2546 0.6787 0.1647
Ac: 0.5000 0.4284 0.9165
Ac: 0.5000 0.5096 0.5096
Ac: 0.5000 0.9165 0.4284
Ac: 0.7454 0.1647 0.6787
Ac: 0.7454 0.6787 0.1647
Ac: 0.7483 0.2504 0.2504
Tm: 0.2558 0.7600 0.7600
Tm: 0.5000 0.9967 0.9967
Tm: 0.7442 0.7600 0.7600

---

Structure and simulated X-ray powder pattern of GeSbTe5Pb2 (a GGA-PBE-relaxed structure; a wavelength of 1.5418 Å).
Kinematic intensities with the Lorentz-polarization factor, no thermal factor.

Main lines, sorted by position (5° ≤ 2θ ≤ 70°):
2θ (°)  I_rel
27.06  28.4
28.01  100.0
28.32  31.8
30.00  12.4
32.86  39.8
38.87  27.7
40.07  16.2
45.01  13.0
46.66  14.8
48.78  15.9

Cell lengths 9.9941, 9.9941, 13.5060 Å; angles 90.00, 90.00, 153.19 degrees
Atoms (fractional coordinates):
Ge: 0.0570 0.9430 0.5000
Ge: 0.9430 0.0570 0.0000
Sb: 0.2981 0.7019 0.1137
Sb: 0.7019 0.2981 0.6137
Te: 0.0097 0.9903 0.8295
Te: 0.1492 0.8508 0.1040
Te: 0.1902 0.8098 0.4459
Te: 0.2022 0.7978 0.7620
Te: 0.4760 0.5240 0.0950
Te: 0.5240 0.4760 0.5950
Te: 0.7978 0.2022 0.2620
Te: 0.8098 0.1902 0.9459
Te: 0.8508 0.1492 0.6040
Te: 0.9903 0.0097 0.3295
Pb: 0.3628 0.6372 0.7723
Pb: 0.4015 0.5985 0.4298
Pb: 0.5985 0.4015 0.9298
Pb: 0.6372 0.3628 0.2723

---

Structure and simulated X-ray powder pattern of Tb2Pm6Pr3Sm (a GGA-PBE-relaxed structure; a wavelength of 1.5418 Å).
Kinematic intensities with the Lorentz-polarization factor, no thermal factor.

Main lines, sorted by position (5° ≤ 2θ ≤ 70°):
2θ (°)  I_rel
7.42  0.6
29.97  100.0
34.74  50.7
49.95  36.2
59.35  43.1
62.28  12.4

Cell lengths 6.3267, 6.3267, 12.1052 Å; angles 95.01, 95.01, 120.00 degrees
Atoms (fractional coordinates):
Tb: 0.1667 0.8333 0.0000
Tb: 0.8333 0.1667 0.0000
Pm: 0.0840 0.4177 0.7536
Pm: 0.2487 0.2487 0.2464
Pm: 0.4177 0.0840 0.7536
Pm: 0.5823 0.9160 0.2464
Pm: 0.7513 0.7513 0.7536
Pm: 0.9160 0.5823 0.2464
Pr: 0.0000 0.0000 0.5000
Pr: 0.3332 0.6668 0.5000
Pr: 0.6668 0.3332 0.5000
Sm: 0.5000 0.5000 0.0000

---

Structure and simulated X-ray powder pattern of NaY3S4 (a GGA-PBE-relaxed structure; a wavelength of 1.5418 Å).
Kinematic intensities with the Lorentz-polarization factor, no thermal factor.

Main lines, sorted by position (5° ≤ 2θ ≤ 70°):
2θ (°)  I_rel
15.96  13.6
22.65  11.9
27.83  27.5
32.25  100.0
36.18  6.9
39.77  5.3
46.25  68.8
54.84  13.4
57.50  23.2
67.48  10.5

Cell lengths 5.5519, 5.5519, 5.5519 Å; angles 90.00, 90.00, 90.00 degrees
Atoms (fractional coordinates):
Na: 0.0000 0.0000 0.0000
Y: 0.0000 0.5000 0.5000
Y: 0.5000 0.0000 0.5000
Y: 0.5000 0.5000 0.0000
S: 0.0000 0.0000 0.5000
S: 0.0000 0.5000 0.0000
S: 0.5000 0.0000 0.0000
S: 0.5000 0.5000 0.5000

---

Structure and simulated X-ray powder pattern of Tl3SnPb3 (a GGA-PBE-relaxed structure; a wavelength of 1.5418 Å).
Kinematic intensities with the Lorentz-polarization factor, no thermal factor.

Main lines, sorted by position (5° ≤ 2θ ≤ 70°):
2θ (°)  I_rel
30.96  98.9
31.38  100.0
31.62  93.9
31.79  96.1
36.29  64.6
36.44  64.8
36.66  63.3
53.05  44.6
62.28  27.5
62.75  49.8

Cell lengths 6.1275, 9.1200, 9.1812 Å; angles 94.27, 109.27, 108.80 degrees
Atoms (fractional coordinates):
Tl: 0.0584 0.1303 0.1856
Tl: 0.2542 0.5270 0.1672
Tl: 0.3842 0.8030 0.5025
Tl: 0.6158 0.1970 0.4975
Tl: 0.7458 0.4730 0.8328
Tl: 0.9416 0.8697 0.8144
Sn: 0.3356 0.6647 0.8387
Sn: 0.6644 0.3353 0.1613
Pb: 0.1534 0.2676 0.8436
Pb: 0.2065 0.4029 0.5141
Pb: 0.4496 0.9260 0.1567
Pb: 0.5504 0.0740 0.8433
Pb: 0.7935 0.5971 0.4859
Pb: 0.8466 0.7324 0.1564

---

Structure and simulated X-ray powder pattern of Na3CdOs2O8 (a GGA-PBE-relaxed structure; a wavelength of 1.5418 Å).
Kinematic intensities with the Lorentz-polarization factor, no thermal factor.

Main lines, sorted by position (5° ≤ 2θ ≤ 70°):
2θ (°)  I_rel
21.22  100.0
29.99  46.7
30.38  59.9
37.35  11.4
43.21  26.3
48.37  17.9
48.88  21.5
53.02  11.8
53.73  18.7
53.97  11.8

Cell lengths 5.8852, 5.8852, 7.3436 Å; angles 90.00, 90.00, 120.00 degrees
Atoms (fractional coordinates):
Na: 0.0000 0.0000 0.0000
Na: 0.3333 0.6667 0.6388
Na: 0.6667 0.3333 0.3612
Cd: 0.0000 0.0000 0.5000
Os: 0.3333 0.6667 0.1831
Os: 0.6667 0.3333 0.8169
O: 0.1708 0.3416 0.2947
O: 0.1708 0.8292 0.2947
O: 0.3333 0.6667 0.9417
O: 0.3416 0.1708 0.7053
O: 0.6584 0.8292 0.2947
O: 0.6667 0.3333 0.0583
O: 0.8292 0.1708 0.7053
O: 0.8292 0.6584 0.7053